Structure and simulated powder XRD pattern of La3HgIr (a GGA-PBE-relaxed structure; Cu Ka).

The 8 most intense peaks (10 to 90 degrees two-theta), in order of rising 2θ:
| d/Å | Rel. int. | h k l |
| --- | --- | --- |
| 4.025 | 26.0 | 1 1 1 |
| 3.191 | 27.6 | 1 1 3 |
| 3.121 | 28.9 | 2 1 1 |
| 2.931 | 100.0 | 2 1 2 |
| 2.799 | 48.5 | 1 0 5 |
| 2.519 | 38.3 | 0 1 5 |
| 2.397 | 45.8 | 0 2 0 |
| 1.821 | 27.6 | 1 2 5 |

Crystal structure
```
data_La3HgIr
_chemical_formula_sum 'La12 Hg4 Ir4'
_cell_length_a 8.557
_cell_length_b 4.794
_cell_length_c 14.805
_cell_angle_alpha 90.00
_cell_angle_beta 90.00
_cell_angle_gamma 90.00
_space_group_name_H-M_alt 'P n m a'
_space_group_IT_number 62
loop_
_space_group_symop_operation_xyz
'x,y,z'
'-x,-y,-z'
'-x+1/2,-y,z+1/2'
'x+1/2,y,-z+1/2'
'x+1/2,-y+1/2,-z+1/2'
'-x+1/2,y+1/2,z+1/2'
'-x,y+1/2,-z'
'x,-y+1/2,z'
loop_
_atom_site_label
_atom_site_type_symbol
_atom_site_fract_x
_atom_site_fract_y
_atom_site_fract_z
La1 La 0.000 0.250 0.108
La2 La 0.140 0.250 0.515
La3 La 0.170 0.750 0.289
Hg1 Hg 0.117 0.750 0.673
Ir1 Ir 0.193 0.250 0.951
```